LiP4WO13: calculated powder XRD pattern (Cu Kα (weighted mean of Kα1 and Kα2)), based on DFT lattice parameters and positions (PBE+U).
Peak positions follow from Bragg's law for the DFT cell and can differ from measured ones.

The 8 most intense peaks (5 to 70 degrees two-theta), by angle:
| 2theta | I/Imax |
| --- | --- |
| 11.28 | 213 |
| 12.54 | 1000 |
| 17.72 | 204 |
| 21.04 | 169 |
| 22.89 | 135 |
| 25.24 | 143 |
| 26.17 | 194 |
| 31.13 | 126 |

Atomic structure:
```
LiP4WO13
1.0
5.232 0.000 0.000
1.372 7.885 0.000
0.678 1.417 14.121
Li P W O
2 8 2 26
direct
0.000 0.000 0.000 Li
0.487 0.100 0.510 Li
0.130 0.940 0.675 P
0.182 0.818 0.204 P
0.357 0.753 0.854 P
0.486 0.392 0.652 P
0.503 0.598 0.345 P
0.631 0.250 0.137 P
0.807 0.183 0.793 P
0.856 0.065 0.316 P
0.068 0.425 0.238 W
0.921 0.576 0.752 W
0.007 0.881 0.295 O
0.057 0.188 0.304 O
0.065 0.665 0.177 O
0.193 0.613 0.839 O
0.194 0.956 0.128 O
0.197 0.479 0.666 O
0.268 0.966 0.584 O
0.298 0.835 0.942 O
0.327 0.889 0.760 O
0.338 0.336 0.148 O
0.343 0.457 0.326 O
0.449 0.672 0.436 O
0.454 0.741 0.252 O
0.529 0.259 0.749 O
0.533 0.300 0.567 O
0.649 0.666 0.840 O
0.655 0.531 0.664 O
0.660 0.115 0.231 O
0.697 0.166 0.049 O
0.716 0.052 0.408 O
0.792 0.391 0.152 O
0.795 0.518 0.326 O
0.802 0.044 0.870 O
0.926 0.338 0.817 O
0.938 0.811 0.684 O
0.970 0.120 0.700 O
```